Diffraction record for NaSrEuWO6. The powder XRD pattern is computed, not measured: it uses the PBE+U geometry in Alexandria and Cu Kα.

Main lines, sorted by position (2θ from 10° to 80°):
18.21 deg, d 4.872, I = 76; 21.06 deg, d 4.219, I = 456; 29.95 deg, d 2.983, I = 1000; 42.87 deg, d 2.110, I = 316; 48.23 deg, d 1.887, I = 196; 53.17 deg, d 1.723, I = 405; 62.23 deg, d 1.492, I = 195; 66.48 deg, d 1.406, I = 92; 70.59 deg, d 1.334, I = 184; 78.53 deg, d 1.218, I = 64

Cell: 5.967 5.967 5.967 Å, 60.00 60.00 60.00°
Element x y z (fractional)
Na: 0.000 0.000 0.000
Sr: 0.500 0.500 0.500
Eu: 0.250 0.250 0.250
W: 0.750 0.750 0.750
O: 0.519 0.519 0.981
O: 0.519 0.981 0.519
O: 0.519 0.981 0.981
O: 0.981 0.519 0.519
O: 0.981 0.519 0.981
O: 0.981 0.981 0.519